Entry 1:
This entry pairs a crystal structure of LiHfPt2 with its simulated powder diffraction line list. Radiation: a wavelength of 1.5418 Å. Structure: a crystal structure in the Materials Project, relaxed with GGA-PBE.

Crystal structure
```
data_LiHfPt2
_cell_length_a 6.3897
_cell_length_b 6.3897
_cell_length_c 6.3897
_cell_angle_alpha 90.00
_cell_angle_beta 90.00
_cell_angle_gamma 90.00
_symmetry_space_group_name_H-M 'F m -3 m'
_symmetry_Int_Tables_number 225
_symmetry_space_group_name_Hall '-F 4 2 3'
loop_
_atom_site_label
_atom_site_type_symbol
_atom_site_fract_x
_atom_site_fract_y
_atom_site_fract_z
_atom_site_occupancy
Li1 Li 0.0000 0.0000 0.0000 1
Hf1 Hf 0.0000 0.0000 0.5000 1
Pt1 Pt 0.2500 0.2500 0.2500 1
```

Most intense lines, 10° ≤ 2θ ≤ 90°, by angle:
two_theta  Rel. int.
24.1  22
27.9  16
39.9  100
47.2  11
49.4  5
57.7  17
63.5  5
65.3  6
72.5  35
86.1  12


Entry 2:
This entry pairs a crystal structure of LiHf2Re with its simulated powder diffraction line list. Radiation: a wavelength of 1.5418 Å. Structure: a crystal structure in the Materials Project, relaxed with GGA-PBE.

Crystal structure
```
data_LiHf2Re
_cell_length_a 6.5669
_cell_length_b 6.5669
_cell_length_c 6.5669
_cell_angle_alpha 90.00
_cell_angle_beta 90.00
_cell_angle_gamma 90.00
_symmetry_space_group_name_H-M 'F m -3 m'
_symmetry_Int_Tables_number 225
_symmetry_space_group_name_Hall '-F 4 2 3'
loop_
_atom_site_label
_atom_site_type_symbol
_atom_site_fract_x
_atom_site_fract_y
_atom_site_fract_z
_atom_site_occupancy
Li1 Li 0.0000 0.0000 0.0000 1
Hf1 Hf 0.2500 0.2500 0.2500 1
Re1 Re 0.0000 0.0000 0.5000 1
```

Most intense lines, 10° ≤ 2θ ≤ 90°, by angle:
two_theta  Rel. int.
23.5  26
27.2  12
38.8  100
45.8  14
56.0  17
61.6  6
63.3  4
70.2  36
83.2  11
88.0  5